Structure and computed PXRD pattern of AcZnBO4 (a GGA-PBE-relaxed structure; Cu Kα, 1.54184 Å).
Intensities are scaled so that the largest is 100.

Principal peaks in the range 2θ from 5° to 70°, sorted by position:
d = 6.055 Å, 2θ 14.63, I = 100; d = 4.175 Å, 2θ 21.28, I = 13; d = 3.404 Å, 2θ 26.18, I = 12; d = 3.310 Å, 2θ 26.93, I = 40; d = 3.028 Å, 2θ 29.50, I = 22; d = 2.940 Å, 2θ 30.40, I = 24; d = 2.871 Å, 2θ 31.16, I = 33; d = 2.766 Å, 2θ 32.37, I = 19; d = 2.266 Å, 2θ 39.77, I = 16; d = 2.202 Å, 2θ 40.99, I = 28; d = 1.745 Å, 2θ 52.42, I = 14; d = 1.702 Å, 2θ 53.87, I = 12

Structural model:
Cell: 7.2383 7.2383 7.2383 Å, 113.78 109.55 105.19°
Fractional coordinates of all 14 atoms:
Ac 0.5000 0.0000 0.0000
Ac 0.5000 0.5000 0.5000
Zn 0.0000 0.0000 0.0000
Zn 0.5000 0.0000 0.5000
B 0.2042 0.4542 0.7500
B 0.7958 0.5458 0.2500
O 0.2174 0.3074 0.5901
O 0.2174 0.6273 0.9099
O 0.2661 0.1888 0.0774
O 0.3886 0.8112 0.5774
O 0.6114 0.1888 0.4226
O 0.7339 0.8112 0.9226
O 0.7826 0.3727 0.0901
O 0.7826 0.6926 0.4099

***

Structure and computed PXRD pattern of AcB2Os2 (a GGA-PBE-relaxed structure; Cu Kα, 1.54184 Å).
Intensities are scaled so that the largest is 100.

Principal peaks in the range 2θ from 5° to 70°, sorted by position:
d = 3.493 Å, 2θ 25.50, I = 15; d = 2.918 Å, 2θ 30.64, I = 100; d = 2.694 Å, 2θ 33.25, I = 100; d = 2.356 Å, 2θ 38.21, I = 35; d = 2.195 Å, 2θ 41.13, I = 49; d = 1.942 Å, 2θ 46.77, I = 16; d = 1.817 Å, 2θ 50.21, I = 26; d = 1.642 Å, 2θ 56.00, I = 13; d = 1.606 Å, 2θ 57.38, I = 17; d = 1.595 Å, 2θ 57.80, I = 18; d = 1.417 Å, 2θ 65.93, I = 15; d = 1.347 Å, 2θ 69.82, I = 12

Structural model:
Cell: 7.0208 6.1548 5.7431 Å, 72.23 56.60 51.17°
Fractional coordinates of all 10 atoms:
Ac 0.1250 0.1250 0.1250
Ac 0.8750 0.8750 0.8750
B 0.1983 0.5517 0.1983
B 0.4483 0.8017 0.4483
B 0.5517 0.1983 0.5517
B 0.8017 0.4483 0.8017
Os 0.2393 0.2393 0.5107
Os 0.4893 0.4893 0.7607
Os 0.5107 0.5107 0.2393
Os 0.7607 0.7607 0.4893